# 1
Diffraction record for NaTmCdSe3. The XRD peak list is computed, not measured: it uses the PBE geometry in OQMD and Cu Kα.

Structure:
Unit cell a=11.041 b=4.128 c=13.743 alpha=90.00 beta=90.00 gamma=90.00
Atoms (fractional coordinates):
1 Na 0.219 0.250 0.006
2 Na 0.281 0.750 0.505
3 Na 0.719 0.250 0.494
4 Na 0.781 0.750 0.994
5 Tm 0.013 0.750 0.742
6 Tm 0.487 0.250 0.242
7 Tm 0.513 0.750 0.758
8 Tm 0.987 0.250 0.258
9 Cd 0.237 0.750 0.218
10 Cd 0.263 0.250 0.718
11 Cd 0.737 0.750 0.282
12 Cd 0.763 0.250 0.782
13 Se 0.036 0.750 0.119
14 Se 0.072 0.250 0.608
15 Se 0.235 0.250 0.340
16 Se 0.265 0.750 0.840
17 Se 0.428 0.750 0.108
18 Se 0.464 0.250 0.619
19 Se 0.536 0.750 0.381
20 Se 0.572 0.250 0.892
21 Se 0.735 0.250 0.160
22 Se 0.765 0.750 0.660
23 Se 0.928 0.750 0.392
24 Se 0.964 0.250 0.881

Peak list (6 most intense, 2θ from 10° to 90°, sorted by position)
two_theta  I/Imax
12.88  100
30.25  30
32.44  26
33.42  84
42.77  47
43.86  21

---

# 2
Diffraction record for Na2CdSiTe4. The XRD peak list is computed, not measured: it uses the PBE geometry in OQMD and Cu Kα.

Structure:
Unit cell a=7.170 b=7.170 c=11.080 alpha=90.00 beta=90.00 gamma=90.00
Atoms (fractional coordinates):
1 Na 0.000 0.000 0.000
2 Na 0.000 0.500 0.250
3 Na 0.500 0.000 0.750
4 Na 0.500 0.500 0.500
5 Cd 0.000 0.500 0.750
6 Cd 0.500 0.000 0.250
7 Si 0.000 0.000 0.500
8 Si 0.500 0.500 0.000
9 Te 0.202 0.223 0.620
10 Te 0.223 0.798 0.380
11 Te 0.277 0.702 0.880
12 Te 0.298 0.277 0.120
13 Te 0.702 0.723 0.120
14 Te 0.723 0.298 0.880
15 Te 0.777 0.202 0.380
16 Te 0.798 0.777 0.620

Peak list (6 most intense, 2θ from 10° to 90°, sorted by position)
two_theta  I/Imax
14.72  25
23.79  100
28.99  16
35.41  23
41.19  36
43.11  26

---

# 3
Diffraction record for Na10CdSn12. The XRD peak list is computed, not measured: it uses the PBE geometry in OQMD and Cu Kα.

Structure:
Unit cell a=9.710 b=9.710 c=9.710 alpha=109.47 beta=109.47 gamma=109.47
Atoms (fractional coordinates):
1 Na 0.000 0.000 0.381
2 Na 0.000 0.381 0.000
3 Na 0.250 0.500 0.750
4 Na 0.250 0.750 0.500
5 Na 0.381 0.000 0.000
6 Na 0.500 0.250 0.750
7 Na 0.500 0.750 0.250
8 Na 0.619 0.619 0.619
9 Na 0.750 0.250 0.500
10 Na 0.750 0.500 0.250
11 Cd 0.000 0.000 0.000
12 Sn 0.000 0.628 0.810
13 Sn 0.000 0.810 0.628
14 Sn 0.183 0.372 0.372
15 Sn 0.190 0.190 0.817
16 Sn 0.190 0.817 0.190
17 Sn 0.372 0.183 0.372
18 Sn 0.372 0.372 0.183
19 Sn 0.628 0.000 0.810
20 Sn 0.628 0.810 0.000
21 Sn 0.810 0.000 0.628
22 Sn 0.810 0.628 0.000
23 Sn 0.817 0.190 0.190

Peak list (6 most intense, 2θ from 10° to 90°, sorted by position)
two_theta  I/Imax
11.16  67
19.39  100
29.82  56
33.92  71
37.63  92
41.05  47

---

# 4
Diffraction record for Na2Sr2Cd3. The XRD peak list is computed, not measured: it uses the PBE geometry in OQMD and Cu Kα.

Structure:
Unit cell a=9.221 b=9.221 c=9.221 alpha=34.46 beta=34.46 gamma=34.46
Atoms (fractional coordinates):
1 Na 0.000 0.000 0.000
2 Na 0.495 0.495 0.495
3 Sr 0.237 0.237 0.237
4 Sr 0.752 0.752 0.752
5 Cd 0.365 0.365 0.365
6 Cd 0.621 0.621 0.621
7 Cd 0.880 0.880 0.880

Peak list (6 most intense, 2θ from 10° to 90°, sorted by position)
two_theta  I/Imax
10.21  25
19.97  29
32.79  100
33.46  85
47.55  31
58.96  31

---

# 5
Diffraction record for Na4Tl3Cd. The XRD peak list is computed, not measured: it uses the PBE geometry in OQMD and Cu Kα.

Structure:
Unit cell a=5.298 b=5.298 c=7.497 alpha=90.00 beta=90.00 gamma=90.00
Atoms (fractional coordinates):
1 Na 0.000 0.000 0.000
2 Na 0.000 0.500 0.748
3 Na 0.500 0.000 0.252
4 Na 0.500 0.500 0.500
5 Tl 0.000 0.500 0.255
6 Tl 0.500 0.000 0.745
7 Tl 0.500 0.500 0.000
8 Cd 0.000 0.000 0.500

Peak list (6 most intense, 2θ from 10° to 90°, sorted by position)
two_theta  I/Imax
20.53  67
33.83  100
39.90  37
48.60  18
53.29  17
60.53  37

---

# 6
Diffraction record for NbCdPO. The XRD peak list is computed, not measured: it uses the PBE geometry in OQMD and Cu Kα.

Structure:
Unit cell a=3.878 b=7.941 c=5.032 alpha=90.00 beta=90.00 gamma=90.00
Atoms (fractional coordinates):
1 Nb 0.000 0.128 0.000
2 Nb 0.000 0.872 0.500
3 Cd 0.500 0.404 0.564
4 Cd 0.500 0.596 0.064
5 P 0.000 0.178 0.498
6 P 0.000 0.822 0.998
7 O 0.500 0.166 0.001
8 O 0.500 0.834 0.501

Peak list (6 most intense, 2θ from 10° to 90°, sorted by position)
two_theta  I/Imax
25.56  100
28.64  98
31.22  35
35.68  42
44.41  37
45.22  48

---

# 7
Diffraction record for NbCd2Pb. The XRD peak list is computed, not measured: it uses the PBE geometry in OQMD and Cu Kα.

Structure:
Unit cell a=7.099 b=7.099 c=7.099 alpha=90.00 beta=90.00 gamma=90.00
Atoms (fractional coordinates):
1 Nb 0.000 0.000 0.000
2 Nb 0.000 0.500 0.500
3 Nb 0.500 0.000 0.500
4 Nb 0.500 0.500 0.000
5 Cd 0.000 0.000 0.500
6 Cd 0.000 0.500 0.000
7 Cd 0.250 0.250 0.250
8 Cd 0.250 0.750 0.750
9 Cd 0.500 0.000 0.000
10 Cd 0.500 0.500 0.500
11 Cd 0.750 0.250 0.750
12 Cd 0.750 0.750 0.250
13 Pb 0.250 0.250 0.750
14 Pb 0.250 0.750 0.250
15 Pb 0.750 0.250 0.250
16 Pb 0.750 0.750 0.750

Peak list (6 most intense, 2θ from 10° to 90°, sorted by position)
two_theta  I/Imax
21.68  7
35.78  100
51.49  17
64.28  35
75.81  11
86.76  16

---

# 8
Diffraction record for RbNbCdTe3. The XRD peak list is computed, not measured: it uses the PBE geometry in OQMD and Cu Kα.

Structure:
Unit cell a=9.095 b=4.158 c=11.216 alpha=90.00 beta=112.69 gamma=90.00
Atoms (fractional coordinates):
1 Rb 0.235 0.250 0.218
2 Rb 0.765 0.750 0.782
3 Nb 0.196 0.750 0.652
4 Nb 0.804 0.250 0.348
5 Cd 0.428 0.250 0.870
6 Cd 0.572 0.750 0.130
7 Te 0.036 0.750 0.376
8 Te 0.246 0.750 0.934
9 Te 0.401 0.250 0.612
10 Te 0.599 0.750 0.388
11 Te 0.754 0.250 0.066
12 Te 0.964 0.250 0.624

Peak list (6 most intense, 2θ from 10° to 90°, sorted by position)
two_theta  I/Imax
10.71  99
29.10  100
30.26  43
31.62  36
39.60  37
43.53  37

---

# 9
Diffraction record for RbNbCdTe3. The XRD peak list is computed, not measured: it uses the PBE geometry in OQMD and Cu Kα.

Structure:
Unit cell a=8.577 b=8.577 c=11.237 alpha=90.00 beta=90.00 gamma=151.26
Atoms (fractional coordinates):
1 Rb 0.243 0.757 0.750
2 Rb 0.757 0.243 0.250
3 Nb 0.000 0.000 0.000
4 Nb 0.000 0.000 0.500
5 Cd 0.457 0.543 0.250
6 Cd 0.543 0.457 0.750
7 Te 0.070 0.930 0.250
8 Te 0.379 0.621 0.031
9 Te 0.379 0.621 0.469
10 Te 0.621 0.379 0.531
11 Te 0.621 0.379 0.969
12 Te 0.930 0.070 0.750

Peak list (6 most intense, 2θ from 10° to 90°, sorted by position)
two_theta  I/Imax
10.65  86
27.60  100
30.91  65
31.86  57
37.90  51
48.67  39

---

# 10
Diffraction record for ScNb2Cd. The XRD peak list is computed, not measured: it uses the PBE geometry in OQMD and Cu Kα.

Structure:
Unit cell a=6.770 b=6.770 c=6.770 alpha=90.00 beta=90.00 gamma=90.00
Atoms (fractional coordinates):
1 Sc 0.000 0.000 0.000
2 Sc 0.000 0.500 0.500
3 Sc 0.500 0.000 0.500
4 Sc 0.500 0.500 0.000
5 Nb 0.000 0.000 0.500
6 Nb 0.000 0.500 0.000
7 Nb 0.250 0.250 0.250
8 Nb 0.250 0.750 0.750
9 Nb 0.500 0.000 0.000
10 Nb 0.500 0.500 0.500
11 Nb 0.750 0.250 0.750
12 Nb 0.750 0.750 0.250
13 Cd 0.250 0.250 0.750
14 Cd 0.250 0.750 0.250
15 Cd 0.750 0.250 0.250
16 Cd 0.750 0.750 0.750

Peak list (6 most intense, 2θ from 10° to 90°, sorted by position)
two_theta  I/Imax
22.75  6
26.33  5
37.58  100
54.20  17
67.82  33
80.21  10

---

# 11
Diffraction record for NbCd2Si. The XRD peak list is computed, not measured: it uses the PBE geometry in OQMD and Cu Kα.

Structure:
Unit cell a=6.633 b=6.633 c=6.633 alpha=90.00 beta=90.00 gamma=90.00
Atoms (fractional coordinates):
1 Nb 0.000 0.000 0.000
2 Nb 0.000 0.500 0.500
3 Nb 0.500 0.000 0.500
4 Nb 0.500 0.500 0.000
5 Cd 0.000 0.000 0.500
6 Cd 0.000 0.500 0.000
7 Cd 0.250 0.250 0.250
8 Cd 0.250 0.750 0.750
9 Cd 0.500 0.000 0.000
10 Cd 0.500 0.500 0.500
11 Cd 0.750 0.250 0.750
12 Cd 0.750 0.750 0.250
13 Si 0.250 0.250 0.750
14 Si 0.250 0.750 0.250
15 Si 0.750 0.250 0.250
16 Si 0.750 0.750 0.750

Peak list (6 most intense, 2θ from 10° to 90°, sorted by position)
two_theta  I/Imax
23.23  15
38.39  100
45.35  8
55.41  17
69.42  33
82.22  10

---

# 12
Diffraction record for NbCdTe2. The XRD peak list is computed, not measured: it uses the PBE geometry in OQMD and Cu Kα.

Structure:
Unit cell a=7.298 b=7.298 c=7.298 alpha=90.00 beta=90.00 gamma=90.00
Atoms (fractional coordinates):
1 Nb 0.000 0.000 0.000
2 Nb 0.000 0.500 0.500
3 Nb 0.500 0.000 0.500
4 Nb 0.500 0.500 0.000
5 Cd 0.250 0.250 0.250
6 Cd 0.250 0.750 0.750
7 Cd 0.750 0.250 0.750
8 Cd 0.750 0.750 0.250
9 Te 0.000 0.000 0.500
10 Te 0.000 0.500 0.000
11 Te 0.250 0.250 0.750
12 Te 0.250 0.750 0.250
13 Te 0.500 0.000 0.000
14 Te 0.500 0.500 0.500
15 Te 0.750 0.250 0.250
16 Te 0.750 0.750 0.750

Peak list (6 most intense, 2θ from 10° to 90°, sorted by position)
two_theta  I/Imax
21.09  1
34.77  100
49.99  18
62.33  36
73.39  11
83.84  15